# Pm5AgAu2
Simulated X-ray powder pattern, Cu Kα. Input: a structure optimized by DFT (GGA-PBE).

Structural model:
```
Pm5AgAu2
1.0
-4.165 4.165 6.485
4.165 -4.165 6.485
4.165 4.165 -6.485
Pm Ag Au
10 2 4
Direct
0.000 0.000 0.000 Pm
0.013 0.513 0.816 Pm
0.197 0.013 0.500 Pm
0.303 0.803 0.816 Pm
0.487 0.303 0.500 Pm
0.500 0.500 0.000 Pm
0.513 0.697 0.500 Pm
0.697 0.197 0.184 Pm
0.803 0.987 0.500 Pm
0.987 0.487 0.184 Pm
0.250 0.250 0.000 Ag
0.750 0.750 0.000 Ag
0.132 0.368 0.500 Au
0.368 0.868 0.236 Au
0.632 0.132 0.764 Au
0.868 0.632 0.500 Au
```

Most intense lines, 2θ = 10–80°, in order of falling intensity:
2θ (°), I/Imax
31.7, 100
34.0, 52
63.9, 18
35.1, 14
13.7, 14
42.5, 12
54.9, 9
67.9, 9
49.8, 9
41.8, 8